Entry 1:
Diffraction record for BaZnBO3F. The powder X-ray diffraction pattern is computed, not measured: it uses a DFT-relaxed cell (GGA-PBE, Alexandria) and λ = 1.5418 Å (Cu Kα).
Peak positions follow from Bragg's law for the DFT cell and can differ from measured ones.

Main lines, by angle (2θ from 15° to 90°):
Position (°2θ)  d [Å]  I/Imax
20.0  4.438  40
28.7  3.115  100
35.0  2.563  48
40.8  2.211  13
41.3  2.187  17
45.9  1.979  29
55.2  1.664  25
59.0  1.566  24
62.8  1.479  11
78.0  1.225  12

Structural model:
a = 5.125 Å, b = 5.125 Å, c = 4.374 Å
α = 90.00°, β = 90.00°, γ = 120.00°
Sites, in units of the cell vectors:
Ba: 0.000 0.000 0.000
Zn: 0.333 0.667 0.500
B: 0.667 0.333 0.500
O: 0.385 0.309 0.500
O: 0.691 0.075 0.500
O: 0.925 0.615 0.500
F: 0.333 0.667 0.000

---

Entry 2:
Diffraction record for Ac6Tb2Nd5. The powder X-ray diffraction pattern is computed, not measured: it uses a DFT-relaxed cell (GGA-PBE, Alexandria) and λ = 1.5418 Å (Cu Kα).
Peak positions follow from Bragg's law for the DFT cell and can differ from measured ones.

Main lines, by angle (2θ from 15° to 90°):
Position (°2θ)  d [Å]  I/Imax
25.9  3.436  100
27.9  3.195  26
29.7  3.009  65
29.9  2.986  71
30.5  2.929  81
32.1  2.788  31
33.7  2.662  23
34.0  2.634  46
48.3  1.885  23
57.8  1.594  26

Structural model:
a = 11.421 Å, b = 24.071 Å, c = 3.770 Å
α = 90.00°, β = 90.00°, γ = 90.00°
Sites, in units of the cell vectors:
Ac: 0.019 0.113 0.000
Ac: 0.146 0.385 0.000
Ac: 0.166 0.634 0.500
Ac: 0.334 0.134 0.500
Ac: 0.354 0.885 0.000
Ac: 0.481 0.613 0.000
Ac: 0.519 0.387 0.000
Ac: 0.646 0.115 0.000
Ac: 0.666 0.866 0.500
Ac: 0.834 0.366 0.500
Ac: 0.854 0.615 0.000
Ac: 0.981 0.887 0.000
Tb: 0.165 0.767 0.000
Tb: 0.335 0.267 0.000
Tb: 0.665 0.733 0.000
Tb: 0.835 0.233 0.000
Nd: 0.000 0.500 0.500
Nd: 0.085 0.249 0.500
Nd: 0.165 0.997 0.500
Nd: 0.335 0.497 0.500
Nd: 0.415 0.749 0.500
Nd: 0.500 0.000 0.500
Nd: 0.585 0.251 0.500
Nd: 0.665 0.503 0.500
Nd: 0.835 0.003 0.500
Nd: 0.915 0.751 0.500

---

Entry 3:
Diffraction record for NaNd2ThBi4. The powder X-ray diffraction pattern is computed, not measured: it uses a DFT-relaxed cell (GGA-PBE, Alexandria) and λ = 1.5418 Å (Cu Kα).
Peak positions follow from Bragg's law for the DFT cell and can differ from measured ones.

Main lines, by angle (2θ from 15° to 90°):
Position (°2θ)  d [Å]  I/Imax
15.2  5.832  19
27.0  3.303  52
27.4  3.250  100
38.9  2.317  80
39.2  2.298  40
48.2  1.886  44
63.1  1.472  20
63.8  1.458  19
64.1  1.453  19
70.8  1.330  29

Structural model:
a = 8.048 Å, b = 6.500 Å, c = 8.048 Å
α = 66.18°, β = 47.63°, γ = 66.18°
Sites, in units of the cell vectors:
Na: 0.000 0.000 0.000
Nd: 0.249 0.249 0.251
Nd: 0.749 0.749 0.751
Th: 0.499 0.499 0.501
Bi: 0.253 0.744 0.256
Bi: 0.500 0.999 0.500
Bi: 0.744 0.253 0.747
Bi: 0.999 0.500 0.001

---

Entry 4:
Diffraction record for RbScSiTe4. The powder X-ray diffraction pattern is computed, not measured: it uses a DFT-relaxed cell (GGA-PBE, Alexandria) and λ = 1.5418 Å (Cu Kα).
Peak positions follow from Bragg's law for the DFT cell and can differ from measured ones.

Main lines, by angle (2θ from 15° to 90°):
Position (°2θ)  d [Å]  I/Imax
25.6  3.481  17
26.9  3.309  19
27.1  3.286  100
27.4  3.252  17
29.1  3.066  34
29.9  2.989  18
30.2  2.964  18
30.4  2.940  24
40.1  2.249  16
47.9  1.898  27

Structural model:
a = 6.962 Å, b = 7.597 Å, c = 10.048 Å
α = 90.00°, β = 109.41°, γ = 90.00°
Sites, in units of the cell vectors:
Rb: 0.223 0.250 0.049
Rb: 0.777 0.750 0.951
Sc: 0.222 0.250 0.548
Sc: 0.778 0.750 0.452
Si: 0.221 0.750 0.343
Si: 0.779 0.250 0.657
Te: 0.027 0.507 0.696
Te: 0.027 0.993 0.696
Te: 0.425 0.750 0.180
Te: 0.468 0.750 0.588
Te: 0.532 0.250 0.412
Te: 0.575 0.250 0.820
Te: 0.973 0.007 0.304
Te: 0.973 0.493 0.304

---

Entry 5:
Diffraction record for LiCdTeBr. The powder X-ray diffraction pattern is computed, not measured: it uses a DFT-relaxed cell (GGA-PBE, Alexandria) and λ = 1.5418 Å (Cu Kα).
Peak positions follow from Bragg's law for the DFT cell and can differ from measured ones.

Main lines, by angle (2θ from 15° to 90°):
Position (°2θ)  d [Å]  I/Imax
24.0  3.714  100
24.7  3.599  34
30.6  2.917  23
39.5  2.284  51
40.5  2.230  46
41.5  2.177  16
46.7  1.946  16
47.1  1.928  34
57.8  1.595  16
72.2  1.308  16

Structural model:
a = 4.568 Å, b = 4.568 Å, c = 7.667 Å
α = 107.34°, β = 107.34°, γ = 59.99°
Sites, in units of the cell vectors:
Li: 0.000 0.000 0.000
Cd: 0.495 0.495 0.483
Te: 0.871 0.871 0.610
Br: 0.363 0.363 0.089

---

Entry 6:
Diffraction record for Li2Ga7. The powder X-ray diffraction pattern is computed, not measured: it uses a DFT-relaxed cell (GGA-PBE, Alexandria) and λ = 1.5418 Å (Cu Kα).
Peak positions follow from Bragg's law for the DFT cell and can differ from measured ones.

Main lines, by angle (2θ from 15° to 90°):
Position (°2θ)  d [Å]  I/Imax
18.9  4.685  100
19.3  4.594  31
38.4  2.342  91
39.2  2.296  36
41.2  2.190  20
42.1  2.145  62
44.2  2.048  36
62.4  1.487  19
69.0  1.361  23
82.4  1.171  22

Structural model:
a = 14.128 Å, b = 14.128 Å, c = 14.128 Å
α = 22.22°, β = 22.22°, γ = 22.22°
Sites, in units of the cell vectors:
Li: 0.038 0.038 0.038
Li: 0.148 0.148 0.148
Li: 0.852 0.852 0.852
Li: 0.962 0.962 0.962
Ga: 0.000 0.500 0.500
Ga: 0.106 0.620 0.620
Ga: 0.275 0.275 0.275
Ga: 0.380 0.380 0.894
Ga: 0.380 0.894 0.380
Ga: 0.394 0.394 0.394
Ga: 0.500 0.000 0.500
Ga: 0.500 0.500 0.000
Ga: 0.500 0.500 0.500
Ga: 0.606 0.606 0.606
Ga: 0.620 0.106 0.620
Ga: 0.620 0.620 0.106
Ga: 0.725 0.725 0.725
Ga: 0.894 0.380 0.380

---

Entry 7:
Diffraction record for Tm6Ir2Pt. The powder X-ray diffraction pattern is computed, not measured: it uses a DFT-relaxed cell (GGA-PBE, Alexandria) and λ = 1.5418 Å (Cu Kα).
Peak positions follow from Bragg's law for the DFT cell and can differ from measured ones.

Main lines, by angle (2θ from 15° to 90°):
Position (°2θ)  d [Å]  I/Imax
29.7  3.007  66
30.0  2.981  46
31.0  2.889  73
31.8  2.813  100
33.5  2.672  68
34.3  2.612  65
37.6  2.390  52
39.4  2.286  67
46.9  1.937  48
48.4  1.881  42

Structural model:
a = 6.533 Å, b = 7.322 Å, c = 11.281 Å
α = 90.00°, β = 122.95°, γ = 90.00°
Sites, in units of the cell vectors:
Tm: 0.079 0.052 0.240
Tm: 0.079 0.448 0.740
Tm: 0.231 0.678 0.078
Tm: 0.231 0.822 0.578
Tm: 0.387 0.167 0.064
Tm: 0.387 0.333 0.564
Tm: 0.613 0.667 0.436
Tm: 0.613 0.833 0.936
Tm: 0.769 0.178 0.422
Tm: 0.769 0.322 0.922
Tm: 0.921 0.552 0.260
Tm: 0.921 0.948 0.760
Ir: 0.307 0.117 0.764
Ir: 0.307 0.383 0.264
Ir: 0.693 0.617 0.736
Ir: 0.693 0.883 0.236
Pt: 0.500 0.000 0.500
Pt: 0.500 0.500 0.000

---

Entry 8:
Diffraction record for AcLa2HfO6. The powder X-ray diffraction pattern is computed, not measured: it uses a DFT-relaxed cell (GGA-PBE, Alexandria) and λ = 1.5418 Å (Cu Kα).
Peak positions follow from Bragg's law for the DFT cell and can differ from measured ones.

Main lines, by angle (2θ from 15° to 90°):
Position (°2θ)  d [Å]  I/Imax
15.4  5.742  11
27.3  3.269  100
31.2  2.871  11
31.8  2.812  35
38.7  2.328  9
45.1  2.009  25
45.6  1.989  18
53.1  1.725  9
54.0  1.699  31
56.3  1.635  9

Structural model:
a = 5.625 Å, b = 5.625 Å, c = 5.742 Å
α = 90.00°, β = 90.00°, γ = 90.00°
Sites, in units of the cell vectors:
Ac: 0.000 0.000 0.000
La: 0.000 0.500 0.458
La: 0.500 0.000 0.458
Hf: 0.500 0.500 0.066
O: 0.000 0.000 0.590
O: 0.266 0.266 0.221
O: 0.266 0.734 0.221
O: 0.500 0.500 0.723
O: 0.734 0.266 0.221
O: 0.734 0.734 0.221